[1]
Starting from a DFT-relaxed cell (PBE, Alexandria), the powder diffraction line list of GdErSn2 was calculated for Cu Kα, 1.54184 Å.

Structural model:
a b c (Å): 9.259 9.259 9.259
angles (deg): 23.94 23.94 23.94
Positions (direct):
Gd  0.000  0.000  0.000
Er  0.500  0.500  0.500
Sn  0.249  0.249  0.249
Sn  0.751  0.751  0.751

Principal peaks in the range 15 to 90 degrees two-theta, low angle first:
2θ = 29.96°, I = 100; 2θ = 38.01°, I = 53; 2θ = 40.13°, I = 15; 2θ = 47.34°, I = 29; 2θ = 57.04°, I = 17; 2θ = 61.70°, I = 13; 2θ = 62.25°, I = 13; 2θ = 63.75°, I = 24; 2θ = 77.19°, I = 14; 2θ = 81.76°, I = 12



[2]
Starting from a DFT-relaxed cell (PBE, Alexandria), the powder diffraction line list of SrGdEr was calculated for Cu Kα, 1.54184 Å.

Structural model:
a b c (Å): 8.381 8.381 8.381
angles (deg): 154.12 154.12 36.93
Positions (direct):
Sr  0.000  0.000  0.000
Gd  0.685  0.685  0.000
Er  0.322  0.322  0.000

Principal peaks in the range 15 to 90 degrees two-theta, low angle first:
2θ = 29.15°, I = 100; 2θ = 33.78°, I = 50; 2θ = 35.66°, I = 6; 2θ = 37.05°, I = 11; 2θ = 48.53°, I = 33; 2θ = 57.61°, I = 38; 2θ = 57.98°, I = 6; 2θ = 60.44°, I = 10; 2θ = 78.59°, I = 13; 2θ = 81.01°, I = 10